# Be17VOs
Computed powder X-ray diffraction pattern, Cu Kα (weighted mean of Kα1 and Kα2). Input: DFT lattice parameters and positions (PBE).

Structural model:
a b c (Å): 5.4524 5.4524 5.4524
angles (deg): 82.91 82.91 82.91
Fractional positions:
Be 0.9996 0.5002 0.5002
Be 0.0513 0.0513 0.0513
Be 0.1459 0.1459 0.6568
Be 0.1459 0.6568 0.1459
Be 0.1536 0.4537 0.8460
Be 0.1536 0.8460 0.4537
Be 0.2542 0.2542 0.2542
Be 0.3187 0.7993 0.7994
Be 0.4537 0.1536 0.8460
Be 0.4537 0.8460 0.1536
Be 0.5002 0.9996 0.5002
Be 0.5002 0.5002 0.9996
Be 0.6568 0.1459 0.1459
Be 0.7994 0.3187 0.7994
Be 0.7994 0.7994 0.3187
Be 0.8460 0.1536 0.4537
Be 0.8460 0.4537 0.1536
V 0.8123 0.8123 0.8123
Os 0.4864 0.4864 0.4864

The 10 most intense peaks (15° ≤ 2θ ≤ 90°), in order of rising 2θ:
2θ = 16.5°, intensity 100; 2θ = 22.1°, intensity 51; 2θ = 24.7°, intensity 70; 2θ = 25.3°, intensity 22; 2θ = 29.8°, intensity 27; 2θ = 35.7°, intensity 66; 2θ = 39.1°, intensity 26; 2θ = 41.9°, intensity 21; 2θ = 43.4°, intensity 24; 2θ = 50.9°, intensity 35